[1]
Calculated powder X-ray diffraction pattern of NiOs2Cl for a wavelength of 1.5418 Å, from DFT lattice parameters and positions (PBE).
Peak positions follow from Bragg's law for the DFT cell and can differ from measured ones.

Principal peaks in the range 15° ≤ 2θ ≤ 90°, sorted by position:
2θ/deg  I/Imax
32.8  11.5
37.1  20.9
39.8  100.0
41.4  17.0
44.2  24.0
47.6  58.9
66.5  21.9
72.8  15.9
80.3  12.8
83.3  22.9

Cell: 8.3541 8.3541 8.3541 Å, 19.39 19.39 19.39°
Sites, in units of the cell vectors:
Ni: 0.0000 0.0000 0.0000
Os: 0.2495 0.2495 0.2495
Os: 0.4991 0.4991 0.4991
Cl: 0.7399 0.7399 0.7399

[2]
Calculated powder X-ray diffraction pattern of NiP2SCl for a wavelength of 1.5418 Å, from DFT lattice parameters and positions (PBE).
Peak positions follow from Bragg's law for the DFT cell and can differ from measured ones.

Principal peaks in the range 15° ≤ 2θ ≤ 90°, sorted by position:
2θ/deg  I/Imax
19.8  80.3
20.2  27.2
28.2  38.8
28.4  55.3
34.9  33.5
40.3  100.0
41.1  47.0
58.2  30.8
58.9  59.5
73.7  29.9

Cell: 4.4806 4.4806 4.3958 Å, 90.00 90.00 90.00°
Sites, in units of the cell vectors:
Ni: 0.0000 0.0000 0.0000
P: 0.0000 0.5000 0.0000
P: 0.5000 0.0000 0.0000
S: 0.5000 0.5000 0.5000
Cl: 0.0000 0.0000 0.5000

[3]
Calculated powder X-ray diffraction pattern of RbNi2PbCl8 for a wavelength of 1.5418 Å, from DFT lattice parameters and positions (PBE).
Peak positions follow from Bragg's law for the DFT cell and can differ from measured ones.

Principal peaks in the range 15° ≤ 2θ ≤ 90°, sorted by position:
2θ/deg  I/Imax
15.8  18.6
19.9  100.0
27.0  45.3
29.5  35.1
33.0  38.8
33.8  26.9
43.7  26.4
47.1  35.9
47.7  31.4
49.3  15.5

Cell: 10.2473 10.2473 10.2473 Å, 37.62 37.62 37.62°
Sites, in units of the cell vectors:
Rb: 0.0000 0.0000 0.0000
Ni: 0.2498 0.2498 0.2498
Ni: 0.7502 0.7502 0.7502
Pb: 0.5000 0.5000 0.5000
Cl: 0.0825 0.4417 0.7946
Cl: 0.2054 0.9175 0.5583
Cl: 0.3257 0.3257 0.3257
Cl: 0.4417 0.7946 0.0825
Cl: 0.5583 0.2054 0.9175
Cl: 0.6743 0.6743 0.6743
Cl: 0.7946 0.0825 0.4417
Cl: 0.9175 0.5583 0.2054

Which formula does entry 3 have? RbNi2PbCl8